# MgFe6O6F6
Simulated XRD peak list, Cu Ka. Input: a PBE+U-relaxed structure.

Most intense lines, 10° ≤ 2θ ≤ 90°, sorted by position:
h k l	2θ/deg	d [Å]	Rel. int.
0 1 -3	23.90	3.723	49
0 1 3	26.36	3.381	100
0 1 -4	28.69	3.112	62
1 -1 0	33.74	2.657	29
1 1 0	33.97	2.639	40
0 2 -1	34.23	2.619	31
1 0 -3	34.66	2.588	76
-1 1 6	52.56	1.741	24
1 1 -7	55.14	1.666	24
2 0 0	60.26	1.536	27

Structural model:
Cell lengths 3.0716, 5.2567, 14.4843 Å; angles 95.53, 90.03, 90.37 degrees
Element x y z (fractional)
Mg 0.0000 0.0000 0.0000
Fe 0.4784 0.2621 0.3345
Fe 0.4848 0.4662 0.6419
Fe 0.4970 0.5121 0.9760
Fe 0.9798 0.6743 0.1920
Fe 0.9826 0.8442 0.4818
Fe 0.9876 0.8899 0.8046
O 0.4784 0.5162 0.2321
O 0.4820 0.7079 0.5566
O 0.4839 0.9982 0.4231
O 0.4847 0.8246 0.8963
O 0.9855 0.5894 0.7235
O 0.9878 0.6821 0.0608
F 0.4903 0.0727 0.7480
F 0.5015 0.1860 0.0554
F 0.9785 0.0291 0.2429
F 0.9799 0.5083 0.3965
F 0.9840 0.2306 0.5904
F 0.9991 0.2685 0.9070